Entry 1:
This entry pairs a crystal structure of Hf9Mo4P with its theoretical X-ray powder pattern. Radiation: Cu Kα X-rays. Structure: a DFT-relaxed cell (PBE, OQMD).

Lattice parameters (Å, degrees): 8.632 8.632 8.615 90.00 90.00 120.00
Fractional coordinates of all 28 atoms:
Hf: 0.078 0.539 0.250
Hf: 0.198 0.396 0.547
Hf: 0.198 0.396 0.953
Hf: 0.198 0.802 0.547
Hf: 0.198 0.802 0.953
Hf: 0.396 0.198 0.047
Hf: 0.396 0.198 0.453
Hf: 0.461 0.539 0.250
Hf: 0.461 0.922 0.250
Hf: 0.539 0.078 0.750
Hf: 0.539 0.461 0.750
Hf: 0.604 0.802 0.547
Hf: 0.604 0.802 0.953
Hf: 0.802 0.198 0.047
Hf: 0.802 0.198 0.453
Hf: 0.802 0.604 0.047
Hf: 0.802 0.604 0.453
Hf: 0.922 0.461 0.750
Mo: 0.000 0.000 0.000
Mo: 0.000 0.000 0.500
Mo: 0.110 0.221 0.250
Mo: 0.110 0.890 0.250
Mo: 0.221 0.110 0.750
Mo: 0.779 0.890 0.250
Mo: 0.890 0.110 0.750
Mo: 0.890 0.779 0.750
P: 0.333 0.667 0.750
P: 0.667 0.333 0.250

Most intense lines, 10° ≤ 2θ ≤ 80°, low angle first:
31.7 deg, rel. 67; 33.4 deg, rel. 35; 36.0 deg, rel. 22; 37.6 deg, rel. 60; 38.1 deg, rel. 100; 39.6 deg, rel. 39; 41.9 deg, rel. 44; 63.1 deg, rel. 35; 65.9 deg, rel. 30; 66.2 deg, rel. 27

***

Entry 2:
This entry pairs a crystal structure of Hf2ReMo2 with its theoretical X-ray powder pattern. Radiation: Cu Kα X-rays. Structure: a DFT-relaxed cell (PBE, OQMD).

Lattice parameters (Å, degrees): 7.947 7.947 7.947 154.52 154.52 36.34
Fractional coordinates of all 5 atoms:
Hf: 0.095 0.095 0.000
Hf: 0.905 0.905 0.000
Re: 0.500 0.500 0.000
Mo: 0.250 0.750 0.500
Mo: 0.750 0.250 0.500

Most intense lines, 10° ≤ 2θ ≤ 80°, low angle first:
11.7 deg, rel. 20; 31.1 deg, rel. 45; 36.2 deg, rel. 26; 38.2 deg, rel. 100; 39.4 deg, rel. 100; 43.7 deg, rel. 19; 49.6 deg, rel. 25; 52.2 deg, rel. 42; 67.3 deg, rel. 42; 73.4 deg, rel. 29

***

Entry 3:
This entry pairs a crystal structure of Hf6N with its theoretical X-ray powder pattern. Radiation: Cu Kα X-rays. Structure: a DFT-relaxed cell (PBE, OQMD).

Lattice parameters (Å, degrees): 5.564 5.564 10.249 90.00 90.00 120.00
Fractional coordinates of all 14 atoms:
Hf: 0.007 0.340 0.378
Hf: 0.007 0.667 0.122
Hf: 0.333 0.340 0.122
Hf: 0.333 0.993 0.378
Hf: 0.340 0.007 0.878
Hf: 0.340 0.333 0.622
Hf: 0.660 0.667 0.378
Hf: 0.660 0.993 0.122
Hf: 0.667 0.007 0.622
Hf: 0.667 0.660 0.878
Hf: 0.993 0.333 0.878
Hf: 0.993 0.660 0.622
N: 0.333 0.667 0.250
N: 0.667 0.333 0.750

Most intense lines, 10° ≤ 2θ ≤ 80°, low angle first:
32.2 deg, rel. 23; 35.0 deg, rel. 25; 36.8 deg, rel. 100; 48.3 deg, rel. 16; 57.4 deg, rel. 19; 64.0 deg, rel. 20; 69.0 deg, rel. 21; 70.1 deg, rel. 15; 74.0 deg, rel. 3; 78.2 deg, rel. 4

***

Entry 4:
This entry pairs a crystal structure of Hf2N with its theoretical X-ray powder pattern. Radiation: Cu Kα X-rays. Structure: a DFT-relaxed cell (PBE, OQMD).

Lattice parameters (Å, degrees): 5.190 5.498 3.228 90.00 90.00 90.00
Fractional coordinates of all 6 atoms:
Hf: 0.232 0.176 0.000
Hf: 0.268 0.676 0.500
Hf: 0.732 0.324 0.500
Hf: 0.768 0.824 0.000
N: 0.000 0.000 0.500
N: 0.500 0.500 0.000

Most intense lines, 10° ≤ 2θ ≤ 80°, low angle first:
32.2 deg, rel. 15; 32.6 deg, rel. 14; 34.6 deg, rel. 32; 36.6 deg, rel. 100; 37.0 deg, rel. 39; 47.9 deg, rel. 13; 57.9 deg, rel. 18; 63.3 deg, rel. 19; 69.2 deg, rel. 17; 70.0 deg, rel. 12